For Ce2Cu3Sb4, DFT lattice parameters and positions (PBE) gives the calculated powder X-ray diffraction pattern in this record (Cu Kα, 1.54184 Å).

Structure:
Cell: 4.494 4.494 10.123 Å, 90.00 90.00 90.00°
Space group P4mm (No. 99)
Asymmetric unit:
Ce  0.000  0.000  0.000 (multiplicity 1)
Ce  0.500  0.500  0.493 (multiplicity 1)
Cu  0.000  0.500  0.254 (multiplicity 2)
Cu  0.500  0.500  0.875 (multiplicity 1)
Sb  0.000  0.000  0.405 (multiplicity 1)
Sb  0.000  0.500  0.739 (multiplicity 2)
Sb  0.500  0.500  0.120 (multiplicity 1)

Largest 10 diffraction maxima, low angle first, 2θ = 10–80°:
2θ/deg	I_rel	h k l
26.53	6	1 0 2
29.46	9	1 1 1
33.27	100	1 1 2
40.13	40	2 0 0
45.84	8	1 1 4
49.37	14	1 0 5
53.04	14	2 1 3
58.06	13	2 2 0
65.44	12	2 1 5
68.59	20	3 1 2